For Tl2CoCuF6, a cell relaxed with GGA+U gives the theoretical powder X-ray diffraction pattern in this record (Cu Kα, 1.54184 Å).
Peak positions follow from Bragg's law for the DFT cell and can differ from measured ones.

Peak list (10 most intense, 15° ≤ 2θ ≤ 90°, sorted by position)
- 21.00 deg, intensity 24.2
- 21.35 deg, intensity 11.6
- 29.87 deg, intensity 50.9
- 30.12 deg, intensity 100.0
- 37.01 deg, intensity 35.2
- 42.75 deg, intensity 33.0
- 43.50 deg, intensity 15.5
- 53.18 deg, intensity 41.6
- 53.66 deg, intensity 19.9
- 62.63 deg, intensity 19.8

Atomic structure:
Lattice parameters (Å, degrees): 5.983 5.983 8.322 90.00 90.00 90.00
Space group I4/mmm (No. 139)
Inequivalent atoms, fractional coordinates:
Tl  0.000  0.500  0.250 [4 per cell]
Co  0.000  0.000  0.000 [2 per cell]
Cu  0.000  0.000  0.500 [2 per cell]
F  0.000  0.000  0.271 [4 per cell]
F  0.239  0.239  0.000 [8 per cell]